Structure and computed X-ray diffraction stick pattern of Ba3HoIrRuO9 (the PBE geometry in the Materials Project; λ = 1.5418 Å (Cu Kα)).

Main lines, by angle (2θ from 10° to 90°):
two_theta  I (rel.)  h k l
18.3  15  1 0 1
25.1  18  1 0 3
29.9  63  1 0 4
30.1  100  1 1 0
35.2  14  1 0 5
39.6  14  2 0 3
42.9  35  2 0 4
46.8  13  1 0 7
53.3  45  3 0 0
62.5  18  2 2 0
70.8  11  3 1 4
86.6  18  4 1 0

Cell and atoms:
```
data_Ba3HoIrRuO9
_chemical_formula_sum 'Ba6 Ho2 Ir2 Ru2 O18'
_symmetry_space_group_name_H-M 'P 63 m c'
_symmetry_Int_Tables_number 186
_symmetry_space_group_name_Hall 'P 6c -2c'
_cell_length_a 5.9450
_cell_length_b 5.9450
_cell_length_c 14.6692
_cell_angle_alpha 90.00
_cell_angle_beta 90.00
_cell_angle_gamma 120.00
loop_
_atom_site_label
_atom_site_fract_x
_atom_site_fract_y
_atom_site_fract_z
_atom_site_occupancy
Ba1 0.0000 0.0000 0.0000 1
Ba2 0.3333 0.6667 0.1571 1
Ba3 0.3333 0.6667 0.8445 1
Ho1 0.0000 0.0000 0.2512 1
Ir1 0.3333 0.6667 0.4144 1
Ru1 0.3333 0.6667 0.5868 1
O1 0.0203 0.5101 0.5008 1
O2 0.1754 0.3509 0.3358 1
O3 0.1757 0.3514 0.6617 1
```